Computed X-ray powder pattern
Compound: Li2MgCr3Se3S3O24
Radiation: Cu Kα, 1.54184 Å
Structure: a GGA+U-relaxed structure

Largest 12 diffraction maxima, by angle, 10° ≤ 2θ ≤ 90°:
2θ = 13.95°, rel. 52.0
2θ = 14.23°, rel. 46.2
2θ = 19.54°, rel. 28.8
2θ = 22.98°, rel. 36.8
2θ = 23.19°, rel. 61.0
2θ = 23.58°, rel. 38.5
2θ = 23.73°, rel. 85.6
2θ = 23.92°, rel. 100.0
2θ = 28.66°, rel. 46.4
2θ = 31.33°, rel. 29.9
2θ = 31.48°, rel. 21.1
2θ = 35.98°, rel. 30.0

Crystal structure
abc: 8.540 8.557 9.126
angles: 89.74 62.20 61.19
Fractional coordinates of all 36 atoms:
Li: 0.000 0.000 0.000
Li: 0.358 0.405 0.992
Mg: 0.704 0.015 0.898
Cr: 0.112 0.316 0.813
Cr: 0.123 0.814 0.296
Cr: 0.696 0.514 0.429
Se: 0.218 0.908 0.613
Se: 0.895 0.709 0.114
Se: 0.914 0.619 0.602
S: 0.188 0.138 0.110
S: 0.605 0.217 0.619
S: 0.640 0.405 0.100
O: 0.022 0.807 0.123
O: 0.028 0.898 0.783
O: 0.068 0.621 0.406
O: 0.077 0.491 0.669
O: 0.101 0.494 0.972
O: 0.144 0.140 0.965
O: 0.154 0.129 0.644
O: 0.246 0.954 0.138
O: 0.250 0.849 0.426
O: 0.363 0.167 0.056
O: 0.425 0.196 0.664
O: 0.440 0.761 0.609
O: 0.442 0.518 0.103
O: 0.549 0.402 0.585
O: 0.607 0.461 0.270
O: 0.627 0.220 0.773
O: 0.712 0.204 0.059
O: 0.729 0.830 0.737
O: 0.733 0.837 0.053
O: 0.761 0.692 0.309
O: 0.796 0.066 0.469
O: 0.800 0.436 0.963
O: 0.800 0.509 0.587
O: 0.997 0.288 0.266